1.
Theoretical powder diffractogram of Sr2NdUO6 for Cu Ka, from a structure optimized by DFT (PBE).

Peak list (10 most intense, 5° ≤ 2θ ≤ 70°, by angle)
(hkl)  Position (°2θ)  intensity
1 1 1  17.29  6
2 0 0  19.99  23
2 2 0  28.41  100
3 1 1  33.45  3
4 0 0  40.62  30
4 2 0  45.67  11
4 2 2  50.31  43
4 4 0  58.79  20
6 0 0  62.75  5
6 2 0  66.57  19

Cell and atoms:
```
data_Sr2NdUO6
_space_group_name_H-M_alt 'F m -3 m'
_space_group_IT_number 225
_space_group_name_Hall '-F 4 2 3'
_cell_length_a 8.884
_cell_length_b 8.884
_cell_length_c 8.884
_cell_angle_alpha 90.00
_cell_angle_beta 90.00
_cell_angle_gamma 90.00
loop_
_atom_site_label
_atom_site_type_symbol
_atom_site_fract_x
_atom_site_fract_y
_atom_site_fract_z
_atom_site_occupancy
Sr1 Sr 0.250 0.250 0.250 1
Nd1 Nd 0.000 0.000 0.000 1
U1 U 0.000 0.000 0.500 1
O1 O 0.000 0.000 0.260 1
```

=====

2.
Theoretical powder diffractogram of Li2TiPO4F for Cu Ka, from a structure optimized by DFT (PBE).

Peak list (10 most intense, 5° ≤ 2θ ≤ 70°, by angle)
(hkl)  Position (°2θ)  intensity
0 1 -1  18.07  9
1 0 1  25.00  8
-1 1 1  25.64  13
1 -1 1  25.78  13
1 1 0  26.75  100
2 -1 0  36.10  11
-2 1 2  41.62  10
1 2 0  42.01  9
0 2 2  50.79  9
2 -2 2  53.01  10

Cell and atoms:
```
data_Li2TiPO4F
_space_group_name_H-M_alt 'P 1'
_space_group_IT_number 1
_cell_length_a 5.416
_cell_length_b 5.480
_cell_length_c 7.353
_cell_angle_alpha 105.68
_cell_angle_beta 105.95
_cell_angle_gamma 95.86
loop_
_space_group_symop_operation_xyz
'x,y,z'
loop_
_atom_site_label
_atom_site_type_symbol
_atom_site_fract_x
_atom_site_fract_y
_atom_site_fract_z
_atom_site_occupancy
Li1 Li 0.000 0.000 0.000 1
Li2 Li 0.123 0.421 0.311 1
Li3 Li 0.451 0.772 0.303 1
Li4 Li 0.586 0.738 0.673 1
Ti1 Ti 0.575 0.235 0.149 1
Ti2 Ti 0.584 0.247 0.655 1
P1 P 0.201 0.573 0.907 1
P2 P 0.956 0.896 0.389 1
O1 O 0.231 0.390 0.042 1
O2 O 0.252 0.913 0.492 1
O3 O 0.318 0.854 0.054 1
O4 O 0.349 0.501 0.755 1
O5 O 0.793 0.964 0.534 1
O6 O 0.842 0.614 0.253 1
O7 O 0.909 0.569 0.805 1
O8 O 0.925 0.087 0.262 1
F1 F 0.485 0.439 0.422 1
F2 F 0.666 0.061 0.880 1
```